Starting from DFT lattice parameters and positions (GGA-PBE), the XRD peak list of Y2TlPb5 was simulated for Cu Kα.
No peak broadening, texture or thermal motion is included.

Main lines, in order of falling intensity (10 to 90 degrees two-theta):
d/Å  two_theta  I (rel.)  hkl
2.818  31.7  100  2 2 0
2.805  31.9  99  2 2 -2
1.731  52.9  36  4 0 0
2.469  36.4  35  0 0 2
2.431  37.0  33  0 4 0
2.406  37.4  32  4 0 -2
1.467  63.4  28  2 6 0
1.710  53.6  23  4 4 -2
1.486  62.5  15  2 2 2
1.480  62.8  15  2 2 -4

Atomic structure:
a b c (Å): 9.623 9.724 6.869
angles (deg): 90.00 134.04 90.00
Space group C2/m (No. 12)
Symmetry-distinct sites (fractional):
Y1 0.250 0.250 0.000
Tl1 0.000 0.000 0.000
Pb1 0.000 0.000 0.500
Pb2 0.000 0.500 0.000
Pb3 0.000 0.500 0.500
Pb4 0.250 0.250 0.500

---

Starting from DFT lattice parameters and positions (GGA-PBE), the XRD peak list of ZrTlPb2 was simulated for Cu Kα.
No peak broadening, texture or thermal motion is included.

Main lines, in order of falling intensity (10 to 90 degrees two-theta):
d/Å  two_theta  I (rel.)  hkl
2.691  33.3  100  0 1 5
2.511  35.8  56  1 0 7
2.849  31.4  43  0 0 12
1.454  64.1  35  1 1 12
1.690  54.3  34  1 1 0
2.769  32.3  31  1 0 4
1.658  55.4  23  0 1 17
2.224  40.6  21  1 0 10
2.885  31.0  19  0 1 2
2.917  30.7  18  1 0 1

Atomic structure:
a b c (Å): 3.3802 3.3802 34.1921
angles (deg): 90.00 90.00 120.00
Space group R3m (No. 160, hexagonal axes)
Symmetry-distinct sites (fractional):
Zr1 0.0000 0.0000 0.0000
Tl1 0.0000 0.0000 0.8347
Pb1 0.0000 0.0000 0.4095
Pb2 0.0000 0.0000 0.5910

---

Starting from DFT lattice parameters and positions (GGA-PBE), the XRD peak list of Zr12Tl3Pb was simulated for Cu Kα.
No peak broadening, texture or thermal motion is included.

Main lines, in order of falling intensity (10 to 90 degrees two-theta):
d/Å  two_theta  I (rel.)  hkl
2.593  34.6  100  1 1 4
2.250  40.1  33  2 0 0
1.356  69.3  26  3 1 4
1.587  58.1  22  2 0 8
2.238  40.3  16  0 0 8
1.351  69.6  13  1 1 12
3.176  28.1  12  1 1 0
1.591  58.0  11  2 2 0
1.297  73.0  11  2 2 8
4.500  19.7  9  1 0 0

Atomic structure:
a b c (Å): 4.500 4.500 17.902
angles (deg): 90.00 90.00 90.00
Space group P4/mmm (No. 123)
Symmetry-distinct sites (fractional):
Zr1 0.000 0.000 0.000
Zr2 0.000 0.000 0.249
Zr3 0.000 0.000 0.500
Zr4 0.000 0.500 0.125
Zr5 0.000 0.500 0.374
Tl1 0.500 0.500 0.000
Tl2 0.500 0.500 0.249
Pb1 0.500 0.500 0.500

---

Starting from DFT lattice parameters and positions (GGA-PBE), the XRD peak list of Tm3Pb was simulated for Cu Kα.
No peak broadening, texture or thermal motion is included.

Main lines, in order of falling intensity (10 to 90 degrees two-theta):
d/Å  two_theta  I (rel.)  hkl
2.652  33.8  100  1 2 1
2.595  34.6  40  0 2 2
2.751  32.5  33  0 4 0
3.027  29.5  20  1 0 1
1.455  64.0  19  1 4 3
1.569  58.9  18  1 6 1
1.714  53.4  17  1 0 3
1.459  63.8  14  2 2 2
2.942  30.4  14  0 0 2
2.036  44.5  13  1 4 1

Atomic structure:
a b c (Å): 3.529 11.004 5.884
angles (deg): 90.00 90.00 90.00
Space group Imm2 (No. 44)
Symmetry-distinct sites (fractional):
Tm1 0.000 0.000 0.000
Tm2 0.000 0.235 0.639
Pb1 0.000 0.500 0.973

---

Starting from DFT lattice parameters and positions (GGA-PBE), the XRD peak list of Tm4Pb was simulated for Cu Kα.
No peak broadening, texture or thermal motion is included.

Main lines, in order of falling intensity (10 to 90 degrees two-theta):
d/Å  two_theta  I (rel.)  hkl
2.748  32.6  100  1 5 0
2.861  31.3  98  1 1 1
2.652  33.8  48  0 4 1
2.595  34.6  45  2 0 0
1.855  49.1  34  2 4 1
1.479  62.8  31  1 5 2
1.453  64.1  20  2 0 2
1.530  60.5  19  1 9 1
1.754  52.1  18  0 0 2
1.526  60.7  17  3 5 0

Atomic structure:
a b c (Å): 5.191 16.198 3.509
angles (deg): 90.00 90.00 90.00
Space group Cmmm (No. 65)
Symmetry-distinct sites (fractional):
Tm1 0.000 0.112 0.000
Tm2 0.000 0.301 0.500
Pb1 0.000 0.500 0.500

---

Starting from DFT lattice parameters and positions (GGA-PBE), the XRD peak list of TmPb4 was simulated for Cu Kα.
No peak broadening, texture or thermal motion is included.

Main lines, in order of falling intensity (10 to 90 degrees two-theta):
d/Å  two_theta  I (rel.)  hkl
2.960  30.2  100  1 0 5
2.710  33.1  80  1 2 1
1.469  63.3  49  1 4 5
2.322  38.8  40  0 2 6
2.331  38.6  29  2 0 0
1.645  55.9  28  2 2 6
1.097  89.3  22  3 4 5
2.762  32.4  20  0 2 4
1.916  47.4  13  0 0 10
1.440  64.7  12  3 0 5

Atomic structure:
a b c (Å): 4.663 6.763 19.159
angles (deg): 90.00 90.00 90.00
Space group Imma (No. 74)
Symmetry-distinct sites (fractional):
Tm1 0.000 0.250 0.085
Pb1 0.000 0.000 0.500
Pb2 0.000 0.006 0.312
Pb3 0.000 0.250 0.902

---

Starting from DFT lattice parameters and positions (GGA-PBE), the XRD peak list of Tm2Pb3 was simulated for Cu Kα.
No peak broadening, texture or thermal motion is included.

Main lines, in order of falling intensity (10 to 90 degrees two-theta):
d/Å  two_theta  I (rel.)  hkl
2.820  31.7  100  1 1 5
3.150  28.3  68  1 3 1
2.881  31.0  45  2 2 0
2.265  39.8  45  0 4 4
2.714  33.0  44  2 2 2
2.193  41.2  25  3 1 1
2.065  43.8  21  1 5 1
1.651  55.7  21  3 3 5
2.346  38.4  20  2 2 4
3.936  22.6  19  1 1 3

Atomic structure:
a b c (Å): 6.780 10.938 16.170
angles (deg): 90.00 90.00 90.00
Space group Fddd (No. 70, origin choice 2)
Symmetry-distinct sites (fractional):
Tm1 0.125 0.125 0.329
Pb1 0.000 0.000 0.500
Pb2 0.125 0.125 0.125

---

Starting from DFT lattice parameters and positions (GGA-PBE), the XRD peak list of TmPb7 was simulated for Cu Kα.
No peak broadening, texture or thermal motion is included.

Main lines, in order of falling intensity (10 to 90 degrees two-theta):
d/Å  two_theta  I (rel.)  hkl
2.857  31.3  100  2 2 2
2.474  36.3  51  4 0 0
1.492  62.2  44  6 2 2
1.750  52.3  37  4 4 0
1.135  85.5  19  6 6 2
1.107  88.3  18  8 4 0
1.429  65.3  13  4 4 4
1.237  77.1  6  8 0 0

Atomic structure:
a b c (Å): 9.897 9.897 9.897
angles (deg): 90.00 90.00 90.00
Space group Fm-3m (No. 225)
Symmetry-distinct sites (fractional):
Tm1 0.000 0.000 0.000
Pb1 0.000 0.000 0.500
Pb2 0.000 0.250 0.250